The following is a calculated powder diffraction line list of Ca3SmCd8. It was derived from the PBE geometry in Alexandria, using λ = 1.5418 Å (Cu Kα).
Kinematic intensities with the Lorentz-polarization factor, no thermal factor.

Peak list (10 most intense, 2θ = 10–90°, in order of falling intensity)
- 35.4 deg, I 100, (2 0 1)
- 35.0 deg, I 96, (1 1 2)
- 32.9 deg, I 48, (0 1 3)
- 39.1 deg, I 37, (0 2 2)
- 59.8 deg, I 30, (2 0 5)
- 61.1 deg, I 29, (2 2 0)
- 16.9 deg, I 28, (1 0 0)
- 37.6 deg, I 27, (0 0 4)
- 19.3 deg, I 24, (1 0 1)
- 55.9 deg, I 24, (3 0 2)

Structural model:
a = 6.070 Å, b = 6.070 Å, c = 9.563 Å
α = 90.00°, β = 90.00°, γ = 120.00°
Atoms (fractional coordinates):
Ca 0.000 0.000 0.000
Ca 0.000 0.000 0.383
Ca 0.333 0.667 0.877
Sm 0.333 0.667 0.498
Cd 0.009 0.504 0.191
Cd 0.326 0.163 0.689
Cd 0.496 0.504 0.191
Cd 0.496 0.991 0.191
Cd 0.667 0.333 0.441
Cd 0.667 0.333 0.942
Cd 0.837 0.163 0.689
Cd 0.837 0.674 0.689